Theoretical powder diffraction line list
Compound: Fe3P2O16
Radiation: Cu Kα
Structure: the GGA+U geometry in Alexandria
Peak positions follow from Bragg's law for the DFT cell and can differ from measured ones.

Largest 10 diffraction maxima, low angle first, 2θ from 10° to 80°:
2θ 10.56, rel. 22
2θ 12.02, rel. 100
2θ 17.41, rel. 49
2θ 21.45, rel. 16
2θ 26.75, rel. 17
2θ 27.02, rel. 31
2θ 32.51, rel. 9
2θ 33.84, rel. 9
2θ 36.59, rel. 18
2θ 42.03, rel. 9

Atomic structure:
```
Fe3P2O16
1.0
5.4792 -7.3607 0.0000
5.4792 7.3607 0.0000
-1.6437 0.0000 4.1424
Fe P O
3 2 16
direct
0.0000 0.0000 0.0000 Fe
0.3973 0.6027 0.0000 Fe
0.6027 0.3973 0.0000 Fe
0.3236 0.3236 0.3029 P
0.6764 0.6764 0.6971 P
0.0549 0.8745 0.3503 O
0.1255 0.9451 0.6497 O
0.1761 0.1761 0.2608 O
0.2207 0.6903 0.8510 O
0.2664 0.4438 0.1630 O
0.3097 0.7793 0.1490 O
0.4031 0.4031 0.6764 O
0.4438 0.2664 0.1630 O
0.5562 0.7336 0.8370 O
0.5969 0.5969 0.3236 O
0.6903 0.2207 0.8510 O
0.7336 0.5562 0.8370 O
0.7793 0.3097 0.1490 O
0.8239 0.8239 0.7392 O
0.8745 0.0549 0.3503 O
0.9451 0.1255 0.6497 O
```